Theoretical powder XRD pattern
Compound: LaPr2Nd4Mg
Radiation: λ = 1.5418 Å (Cu Kα)
Structure: a GGA-PBE-relaxed structure

Atomic structure:
Unit cell a=5.934 b=5.945 c=7.725 alpha=90.00 beta=90.07 gamma=90.00
Space group P2/m (No. 10)
Inequivalent atoms, fractional coordinates:
La (0.000, 0.000, 0.000)
Pr (0.000, 0.000, 0.500)
Pr (0.500, 0.500, 0.500)
Nd (0.001, 0.500, 0.232)
Nd (0.500, 0.000, 0.232)
Mg (0.500, 0.500, 0.000)

Top 10 peaks for 15 to 90 degrees two-theta, in order of rising 2θ:
| (hkl) | Position (°2θ) | I (rel.) |
| --- | --- | --- |
| 2 0 0 | 30.09 | 579 |
| 1 1 2 | 31.47 | 1000 |
| 2 2 0 | 43.08 | 217 |
| 0 0 4 | 47.05 | 75 |
| 1 3 2 | 54.29 | 320 |
| 3 1 2 | 54.37 | 107 |
| 2 0 4 | 56.87 | 170 |
| 2 2 4 | 65.69 | 109 |
| 4 2 0 | 70.97 | 98 |
| 3 3 2 | 71.71 | 92 |

***

Theoretical powder XRD pattern
Compound: K3Rb5Au3
Radiation: λ = 1.5418 Å (Cu Kα)
Structure: a GGA-PBE-relaxed structure

Atomic structure:
Unit cell a=10.9060 b=10.9060 c=6.5619 alpha=90.00 beta=90.00 gamma=120.00
Space group P-62m (No. 189)
Inequivalent atoms, fractional coordinates:
K (0.0000, 0.6129, 0.0000)
Rb (0.0000, 0.2497, 0.5000)
Rb (0.3333, 0.6667, 0.5000)
Au (0.0000, 0.6278, 0.5000)

Top 10 peaks for 15 to 90 degrees two-theta, in order of rising 2θ:
| (hkl) | Position (°2θ) | I (rel.) |
| --- | --- | --- |
| 1 1 0 | 16.25 | 1000 |
| 1 1 1 | 21.18 | 290 |
| 2 1 0 | 24.94 | 669 |
| 0 0 2 | 27.18 | 597 |
| 3 0 0 | 28.35 | 848 |
| 2 1 1 | 28.46 | 604 |
| 3 0 1 | 31.52 | 819 |
| 1 1 2 | 31.83 | 404 |
| 2 1 2 | 37.22 | 465 |
| 3 0 2 | 39.68 | 686 |

***

Theoretical powder XRD pattern
Compound: Sc5Tl4In
Radiation: λ = 1.5418 Å (Cu Kα)
Structure: a GGA-PBE-relaxed structure

Atomic structure:
Unit cell a=3.573 b=3.573 c=18.232 alpha=90.00 beta=90.00 gamma=90.00
Space group P4/mmm (No. 123)
Inequivalent atoms, fractional coordinates:
Sc (0.000, 0.000, 0.000)
Sc (0.000, 0.000, 0.202)
Sc (0.000, 0.000, 0.402)
Tl (0.500, 0.500, 0.101)
Tl (0.500, 0.500, 0.302)
In (0.500, 0.500, 0.500)

Top 10 peaks for 15 to 90 degrees two-theta, in order of rising 2θ:
| (hkl) | Position (°2θ) | I (rel.) |
| --- | --- | --- |
| 0 0 5 | 24.41 | 227 |
| 1 0 0 | 24.92 | 433 |
| 1 0 5 | 35.16 | 1000 |
| 1 1 0 | 35.53 | 487 |
| 1 1 5 | 43.58 | 209 |
| 2 0 0 | 51.13 | 171 |
| 1 0 10 | 56.68 | 99 |
| 1 1 10 | 62.86 | 181 |
| 2 1 5 | 63.57 | 352 |
| 2 0 10 | 74.34 | 111 |

***

Theoretical powder XRD pattern
Compound: MoP4H36C12Cl2
Radiation: λ = 1.5418 Å (Cu Kα)
Structure: a GGA-PBE-relaxed structure

Atomic structure:
Unit cell a=9.890 b=9.890 c=12.656 alpha=90.00 beta=90.00 gamma=90.00
Space group I-42m (No. 121)
Inequivalent atoms, fractional coordinates:
Mo (0.000, 0.000, 0.000)
P (0.177, 0.177, 0.032)
H (0.050, 0.385, 0.072)
H (0.080, 0.285, 0.186)
H (0.112, 0.287, 0.632)
H (0.165, 0.165, 0.446)
H (0.184, 0.310, 0.870)
C (0.126, 0.324, 0.113)
C (0.240, 0.240, 0.420)
Cl (0.000, 0.000, 0.195)

Top 10 peaks for 15 to 90 degrees two-theta, in order of rising 2θ:
| (hkl) | Position (°2θ) | I (rel.) |
| --- | --- | --- |
| 1 1 2 | 18.91 | 370 |
| 2 1 1 | 21.28 | 541 |
| 2 2 0 | 25.47 | 905 |
| 3 1 0 | 28.54 | 558 |
| 2 2 2 | 29.21 | 466 |
| 1 1 4 | 31.02 | 420 |
| 3 2 1 | 33.43 | 1000 |
| 1 0 5 | 36.65 | 354 |
| 2 1 5 | 41.09 | 421 |
| 5 0 5 | 59.29 | 317 |